# 1
Diffraction record for Be4AsP. The XRD peak list is computed, not measured: it uses a DFT-relaxed cell (PBE, Alexandria) and Cu Kα (λ = 1.5418 Å).
Intensities are scaled so that the largest is 100.

Principal peaks in the range 2θ from 10° to 80°, in order of rising 2θ:
h k l, 2theta, d (Å), I_rel
1 0 0, 13.7, 6.459, 31.4
0 1 1, 26.8, 3.322, 100.0
2 0 0, 27.6, 3.230, 26.0
2 1 -1, 33.5, 2.676, 50.7
0 0 2, 34.1, 2.628, 21.3
2 0 -2, 34.4, 2.608, 18.3
2 1 1, 43.7, 2.071, 22.4
2 2 0, 51.1, 1.787, 19.1
2 2 -2, 55.5, 1.657, 12.8
0 1 3, 56.8, 1.622, 20.1

Atomic structure:
Unit cell a=7.039 b=4.290 c=5.728 alpha=90.00 beta=113.41 gamma=90.00
Sites, in units of the cell vectors:
1 Be 0.194 0.228 0.360
2 Be 0.194 0.272 0.860
3 Be 0.288 0.736 0.135
4 Be 0.288 0.764 0.635
5 Be 0.712 0.236 0.365
6 Be 0.712 0.264 0.865
7 Be 0.806 0.728 0.140
8 Be 0.806 0.772 0.640
9 As 0.500 0.000 0.000
10 As 0.500 0.500 0.500
11 P 0.000 0.000 0.000
12 P 0.000 0.500 0.500

***

# 2
Diffraction record for Be3As3Pb. The XRD peak list is computed, not measured: it uses a DFT-relaxed cell (PBE, Alexandria) and Cu Kα (λ = 1.5418 Å).
Intensities are scaled so that the largest is 100.

Principal peaks in the range 2θ from 10° to 80°, in order of rising 2θ:
h k l, 2theta, d (Å), I_rel
1 0 0, 11.1, 7.940, 100.0
1 1 0, 19.4, 4.584, 20.9
1 0 1, 25.7, 3.469, 23.9
1 2 0, 29.8, 3.001, 24.5
1 1 1, 30.3, 2.951, 29.1
2 0 1, 32.4, 2.766, 89.8
3 0 0, 33.9, 2.647, 49.9
1 2 1, 38.0, 2.368, 70.9
1 4 0, 52.8, 1.733, 20.7
3 2 1, 55.8, 1.647, 41.9

Atomic structure:
Unit cell a=9.169 b=9.169 c=3.856 alpha=90.00 beta=90.00 gamma=120.00
Sites, in units of the cell vectors:
1 Be 0.058 0.410 0.250
2 Be 0.352 0.942 0.250
3 Be 0.410 0.352 0.750
4 Be 0.590 0.648 0.250
5 Be 0.648 0.058 0.750
6 Be 0.942 0.590 0.750
7 As 0.086 0.700 0.250
8 As 0.300 0.386 0.250
9 As 0.386 0.086 0.750
10 As 0.614 0.914 0.250
11 As 0.700 0.614 0.750
12 As 0.914 0.300 0.750
13 Pb 0.333 0.667 0.750
14 Pb 0.667 0.333 0.250